Starting from a DFT-relaxed cell (PBE+U, Alexandria), the XRD peak list of Li8MnO5F was computed for Cu Kα.
Neutral-atom scattering factors, no anomalous dispersion.

Top 6 peaks for 10° ≤ 2θ ≤ 90°, by angle:
d (Å), 2θ (°), Rel. int., h k l
5.141, 17.25, 587, 0 0 1
4.770, 18.60, 522, 0 1 0
4.530, 19.59, 571, 1 0 -1
4.324, 20.54, 522, 1 -1 0
4.296, 20.68, 564, 1 0 0
2.646, 33.87, 1000, 1 1 0

Crystal structure
a b c (Å): 5.354 5.365 5.854
angles (deg): 90.78 115.54 114.00
Sites, in units of the cell vectors:
Li 0.000 0.000 0.000
Li 0.033 0.151 0.638
Li 0.179 0.427 0.355
Li 0.406 0.863 0.640
Li 0.527 0.110 0.351
Li 0.583 0.296 0.955
Li 0.688 0.524 0.634
Li 0.862 0.728 0.335
Mn 0.237 0.601 0.966
O 0.099 0.842 0.742
O 0.158 0.746 0.227
O 0.390 0.517 0.739
O 0.447 0.411 0.219
O 0.774 0.214 0.748
F 0.823 0.073 0.261